The following is a calculated powder XRD pattern of Li2TiS2O. It was derived from a cell relaxed with GGA-PBE, using CuKα.
Lines closer than 0.1° are merged.

Structure:
Lattice parameters (Å, degrees): 6.455 12.518 5.595 90.00 114.25 90.00
Space group P2_1/c (No. 14)
Symmetry-distinct sites (fractional):
Li1 0.095 0.140 0.057 x4
Li2 0.294 0.554 0.178 x4
Ti1 0.484 0.181 0.639 x4
S1 0.119 0.143 0.544 x4
S2 0.291 0.549 0.632 x4
O1 0.467 0.694 0.166 x4

Most intense lines, 15° ≤ 2θ ≤ 90°, in order of rising 2θ:
h k l  2θ (°)  d [Å]  I/Imax
1 0 0  15.05  5.886  82
1 2 0  20.72  4.288  32
0 2 1  22.49  3.954  41
1 2 -1  22.75  3.908  67
0 3 1  27.62  3.230  100
2 1 -1  29.01  3.078  27
1 0 -2  32.00  2.797  59
2 2 0  33.65  2.663  50
1 3 1  34.99  2.564  18
1 5 0  39.10  2.304  26
3 1 -2  45.89  1.977  22
1 3 -3  54.28  1.690  23